For HfMoIr, a structure optimized by DFT (PBE) gives the computed powder XRD pattern in this record (Cu Ka).
Peak positions follow from Bragg's law for the DFT cell and can differ from measured ones.

Largest 12 diffraction maxima, by angle, 2θ = 15–90°:
- 24.65 deg, I = 24
- 33.49 deg, I = 80
- 34.10 deg, I = 27
- 35.19 deg, I = 100
- 36.89 deg, I = 70
- 37.53 deg, I = 25
- 39.45 deg, I = 24
- 41.66 deg, I = 83
- 42.15 deg, I = 67
- 43.29 deg, I = 29
- 62.02 deg, I = 20
- 71.94 deg, I = 23

Cell and atoms:
Unit cell a=5.281 b=5.281 c=6.733 alpha=124.79 beta=124.79 gamma=47.90
Element x y z (fractional)
Hf (0.061, 0.061, 0.312)
Hf (0.939, 0.939, 0.688)
Mo (0.344, 0.344, 0.926)
Mo (0.656, 0.656, 0.074)
Ir (0.334, 0.334, 0.299)
Ir (0.666, 0.666, 0.701)



For Hf4IrN, a structure optimized by DFT (PBE) gives the computed powder XRD pattern in this record (Cu Ka).
Peak positions follow from Bragg's law for the DFT cell and can differ from measured ones.

Largest 12 diffraction maxima, by angle, 2θ = 15–90°:
- 33.19 deg, I = 46
- 33.74 deg, I = 46
- 34.55 deg, I = 42
- 35.28 deg, I = 100
- 37.92 deg, I = 21
- 41.58 deg, I = 12
- 46.49 deg, I = 26
- 49.61 deg, I = 11
- 54.75 deg, I = 13
- 56.47 deg, I = 11
- 58.89 deg, I = 12
- 59.73 deg, I = 9

Cell and atoms:
Unit cell a=5.857 b=5.998 c=6.297 alpha=90.00 beta=100.47 gamma=90.00
Element x y z (fractional)
Hf (0.108, 0.160, 0.191)
Hf (0.108, 0.340, 0.691)
Hf (0.333, 0.641, 0.113)
Hf (0.333, 0.859, 0.613)
Hf (0.667, 0.141, 0.387)
Hf (0.667, 0.359, 0.887)
Hf (0.892, 0.660, 0.309)
Hf (0.892, 0.840, 0.809)
Ir (0.500, 0.000, 0.000)
Ir (0.500, 0.500, 0.500)
N (0.000, 0.000, 0.500)
N (0.000, 0.500, 0.000)



For HfIr2N, a structure optimized by DFT (PBE) gives the computed powder XRD pattern in this record (Cu Ka).
Peak positions follow from Bragg's law for the DFT cell and can differ from measured ones.

Largest 12 diffraction maxima, by angle, 2θ = 15–90°:
- 30.44 deg, I = 100
- 34.68 deg, I = 31
- 37.32 deg, I = 83
- 45.79 deg, I = 10
- 47.86 deg, I = 16
- 49.91 deg, I = 17
- 51.56 deg, I = 10
- 53.13 deg, I = 30
- 55.98 deg, I = 12
- 68.39 deg, I = 19
- 68.60 deg, I = 10
- 83.13 deg, I = 11

Cell and atoms:
Unit cell a=5.902 b=5.902 c=5.902 alpha=123.30 beta=123.30 gamma=84.38
Element x y z (fractional)
Hf (0.000, 0.000, 0.000)
Hf (0.750, 0.250, 0.500)
Ir (0.232, 0.625, 0.107)
Ir (0.375, 0.482, 0.607)
Ir (0.518, 0.125, 0.893)
Ir (0.875, 0.768, 0.393)
N (0.250, 0.750, 0.500)
N (0.500, 0.500, 0.000)